Diffraction record for CdCuSb. The X-ray powder pattern is computed, not measured: it uses a PBE-relaxed structure and Cu Kα X-rays.
Neutral-atom scattering factors, no anomalous dispersion.

Top 8 peaks for 2θ = 10–90°, sorted by position:
d_spacing	Rel. int.
4.153	62
3.553	75
2.269	100
2.264	89
1.991	49
1.603	29
1.310	45
1.182	14

Structural model:
```
data_CdCuSb
_chemical_formula_sum 'Cd2 Cu2 Sb2'
_cell_length_a 4.5388
_cell_length_b 4.5388
_cell_length_c 8.3062
_cell_angle_alpha 90.00
_cell_angle_beta 90.00
_cell_angle_gamma 120.00
_symmetry_space_group_name_H-M 'P 63 m c'
_symmetry_Int_Tables_number 186
_symmetry_space_group_name_Hall 'P 6c -2c'
loop_
_atom_site_label
_atom_site_fract_x
_atom_site_fract_y
_atom_site_fract_z
_atom_site_occupancy
Cd1 0.3333 0.6667 0.0000 1
Cu1 0.0000 0.0000 0.3800 1
Sb1 0.3333 0.6667 0.3347 1
```